Structure and calculated powder diffractogram of Sm6Dy2Th (a structure optimized by DFT (GGA-PBE); CuKα).
No peak broadening, texture or thermal motion is included.

The 10 most intense peaks (10 to 90 degrees two-theta), in order of falling intensity:
(1 0 5), 2θ = 33.2°, intensity 100; (1 0 4), 2θ = 31.6°, intensity 66; (0 0 9), 2θ = 30.0°, intensity 47; (1 0 0), 2θ = 28.6°, intensity 46; (1 1 9), 2θ = 59.9°, intensity 40; (1 1 0), 2θ = 50.6°, intensity 36; (1 0 14), 2θ = 56.4°, intensity 32; (1 0 9), 2θ = 41.9°, intensity 30; (2 0 5), 2θ = 61.9°, intensity 17; (2 1 5), 2θ = 83.9°, intensity 15

Crystal structure
a = 3.6081 Å, b = 3.6081 Å, c = 26.8041 Å
α = 90.00°, β = 90.00°, γ = 120.00°
Space group P-6m2 (No. 187)
One atom of each set of equivalent atoms:
Sm (0.0000, 0.0000, 0.0658) x2
Sm (0.0000, 0.0000, 0.2796) x2
Sm (0.3333, 0.6667, 0.3906) x2
Dy (0.3333, 0.6667, 0.1707) x2
Th (0.0000, 0.0000, 0.5000) x1

---

Structure and calculated powder diffractogram of BaLi2TmBr8 (a structure optimized by DFT (GGA-PBE); CuKα).
No peak broadening, texture or thermal motion is included.

The 10 most intense peaks (10 to 90 degrees two-theta), in order of falling intensity:
(2 -1 2), 2θ = 32.3°, intensity 100; (1 1 1), 2θ = 27.3°, intensity 64; (1 0 0), 2θ = 14.6°, intensity 46; (3 0 0), 2θ = 44.9°, intensity 35; (1 1 4), 2θ = 47.8°, intensity 27; (2 2 2), 2θ = 56.3°, intensity 18; (3 0 3), 2θ = 54.6°, intensity 18; (0 0 3), 2θ = 29.5°, intensity 18; (1 0 1), 2θ = 17.6°, intensity 17; (1 0 2), 2θ = 24.5°, intensity 15

Crystal structure
a = 7.0004 Å, b = 7.0004 Å, c = 9.0801 Å
α = 90.00°, β = 90.00°, γ = 120.00°
Space group P-3 (No. 147)
One atom of each set of equivalent atoms:
Ba (0.0000, 0.0000, 0.0000) x1
Li (0.3333, 0.6667, 0.7207) x2
Tm (0.0000, 0.0000, 0.5000) x1
Br (0.0169, 0.6998, 0.3115) x6
Br (0.3333, 0.6667, 0.9971) x2

---

Structure and calculated powder diffractogram of La5Se4I (a structure optimized by DFT (GGA-PBE); CuKα).
No peak broadening, texture or thermal motion is included.

The 10 most intense peaks (10 to 90 degrees two-theta), in order of falling intensity:
(1 0 10), 2θ = 28.9°, intensity 100; (1 1 0), 2θ = 42.0°, intensity 39; (0 1 20), 2θ = 40.7°, intensity 32; (0 2 10), 2θ = 51.7°, intensity 19; (2 1 10), 2θ = 68.7°, intensity 16; (1 1 30), 2θ = 66.9°, intensity 11; (2 0 20), 2θ = 59.9°, intensity 10; (1 2 20), 2θ = 75.8°, intensity 10; (3 0 0), 2θ = 76.6°, intensity 6; (0 1 5), 2θ = 25.2°, intensity 6

Crystal structure
a = 4.3071 Å, b = 4.3071 Å, c = 55.1716 Å
α = 90.00°, β = 90.00°, γ = 120.00°
Space group R-3m (No. 166, hexagonal axes)
One atom of each set of equivalent atoms:
La (0.0000, 0.0000, 0.0000) x3
La (0.0000, 0.0000, 0.2074) x6
La (0.0000, 0.0000, 0.3978) x6
Se (0.0000, 0.0000, 0.0957) x6
Se (0.0000, 0.0000, 0.3013) x6
I (0.0000, 0.0000, 0.5000) x3

---

Structure and calculated powder diffractogram of Pr7PbSe5 (a structure optimized by DFT (GGA-PBE); CuKα).
No peak broadening, texture or thermal motion is included.

The 10 most intense peaks (10 to 90 degrees two-theta), in order of falling intensity:
(3 1 2), 2θ = 29.0°, intensity 100; (2 0 7), 2θ = 27.8°, intensity 73; (3 1 -3), 2θ = 30.1°, intensity 67; (0 2 0), 2θ = 41.6°, intensity 37; (1 1 9), 2θ = 38.7°, intensity 32; (5 1 5), 2θ = 42.5°, intensity 29; (2 2 7), 2θ = 50.8°, intensity 27; (6 0 5), 2θ = 42.8°, intensity 24; (1 1 -10), 2θ = 41.8°, intensity 19; (2 0 8), 2θ = 31.0°, intensity 18

Crystal structure
a = 13.937 Å, b = 4.340 Å, c = 25.341 Å
α = 90.00°, β = 90.02°, γ = 90.00°
Space group C2/m (No. 12)
One atom of each set of equivalent atoms:
Pr (0.027, 0.000, 0.250) x4
Pr (0.094, 0.500, 0.113) x4
Pr (0.094, 0.500, 0.387) x4
Pr (0.137, 0.000, 0.536) x4
Pr (0.137, 0.000, 0.964) x4
Pr (0.181, 0.500, 0.676) x4
Pr (0.181, 0.500, 0.824) x4
Pb (0.197, 0.500, 0.250) x4
Se (0.000, 0.500, 0.000) x2
Se (0.000, 0.500, 0.500) x2
Se (0.046, 0.000, 0.642) x4
Se (0.046, 0.000, 0.859) x4
Se (0.226, 0.000, 0.429) x4
Se (0.227, 0.000, 0.071) x4